(1)
Diffraction record for ScVZn2Ga. The powder XRD pattern is calculated, not measured: it uses a structure optimized by DFT (PBE) and a wavelength of 1.5418 Å.
Intensities are scaled so that the largest is 100.

The 8 most intense peaks (2θ = 10–90°), low angle first:
| index | d [Å] | I_rel |
| --- | --- | --- |
| 1 0 1 | 3.355 | 23 |
| 1 1 1 | 2.761 | 100 |
| 2 0 0 | 2.431 | 76 |
| 0 0 2 | 2.318 | 33 |
| 2 2 0 | 1.719 | 25 |
| 2 0 2 | 1.678 | 46 |
| 3 1 1 | 1.459 | 26 |
| 2 2 2 | 1.381 | 23 |

Atomic structure:
```
ScVZn2Ga
1.0
4.8616 0.0000 0.0000
0.0000 4.8616 0.0000
0.0000 0.0000 4.6367
Sc V Zn Ga
1 1 2 1
direct
0.0000 0.0000 0.0000
0.0000 0.0000 0.5000
0.0000 0.5000 0.5000
0.5000 0.0000 0.5000
0.5000 0.5000 0.0000
```


(2)
Diffraction record for YScGa2. The powder XRD pattern is calculated, not measured: it uses a structure optimized by DFT (PBE) and a wavelength of 1.5418 Å.
Intensities are scaled so that the largest is 100.

The 8 most intense peaks (2θ = 10–90°), low angle first:
| index | d [Å] | I_rel |
| --- | --- | --- |
| 1 0 1 | 3.110 | 11 |
| 1 1 0 | 2.466 | 53 |
| 1 0 2 | 2.448 | 100 |
| 2 0 0 | 1.744 | 18 |
| 2 1 2 | 1.420 | 34 |
| 1 1 4 | 1.410 | 15 |
| 2 0 4 | 1.224 | 9 |
| 3 1 0 | 1.103 | 8 |

Atomic structure:
```
YScGa2
1.0
3.4871 0.0000 0.0000
0.0000 3.4871 0.0000
0.0000 0.0000 6.8733
Y Sc Ga
1 1 2
direct
0.0000 0.0000 0.0000
0.0000 0.0000 0.5000
0.5000 0.5000 0.2720
0.5000 0.5000 0.7280
```


(3)
Diffraction record for YScGa6. The powder XRD pattern is calculated, not measured: it uses a structure optimized by DFT (PBE) and a wavelength of 1.5418 Å.
Intensities are scaled so that the largest is 100.

The 8 most intense peaks (2θ = 10–90°), low angle first:
| index | d [Å] | I_rel |
| --- | --- | --- |
| 2 0 0 | 2.631 | 25 |
| 0 0 2 | 2.331 | 24 |
| 2 0 1 | 2.291 | 100 |
| 2 0 2 | 1.745 | 14 |
| 2 2 0 | 1.519 | 16 |
| 2 0 3 | 1.338 | 17 |
| 2 2 2 | 1.272 | 17 |
| 4 0 1 | 1.266 | 12 |

Atomic structure:
```
YScGa6
1.0
6.0752 0.0000 0.0000
-3.0376 5.2613 0.0000
0.0000 0.0000 4.6615
Y Sc Ga
1 1 6
direct
0.0000 0.0000 0.0000
0.6667 0.3333 0.5000
0.0211 0.5106 0.0000
0.1841 0.3683 0.5000
0.1841 0.8159 0.5000
0.4894 0.5106 0.0000
0.4894 0.9789 0.0000
0.6317 0.8159 0.5000
```